Starting from DFT lattice parameters and positions (GGA-PBE), the powder X-ray diffraction pattern of ThMg2Ni2Ge was calculated for Cu Kα (weighted mean of Kα1 and Kα2).

Main lines, low angle first (15 to 90 degrees two-theta):
Position (°2θ)	I_rel
20.26	40
25.87	100
31.48	43
32.42	32
35.71	32
36.91	64
44.62	42
49.93	20
52.30	43
53.19	22
65.72	21
71.88	20

Structural model:
```
ThMg2Ni2Ge
1.0
-2.4354 2.4354 5.0289
2.4354 -2.4354 5.0289
2.4354 2.4354 -5.0289
Th Mg Ni Ge
1 2 2 1
direct
0.0000 0.0000 0.0000
0.2500 0.7500 0.5000
0.7500 0.2500 0.5000
0.2728 0.2728 0.0000
0.7272 0.7272 0.0000
0.5000 0.5000 0.0000
```